1.
Starting from the GGA+U geometry in Alexandria, the powder XRD pattern of Li6Mn5Ni3O16 was computed for Cu Kα X-rays.
Peak positions follow from Bragg's law for the DFT cell and can differ from measured ones.

Structure:
```
data_Li6Mn5Ni3O16
_chemical_formula_sum 'Li12 Mn10 Ni6 O32'
_cell_length_a 10.147
_cell_length_b 5.780
_cell_length_c 9.449
_cell_angle_alpha 90.00
_cell_angle_beta 91.46
_cell_angle_gamma 90.00
_space_group_name_H-M_alt 'C 1 m 1'
_space_group_IT_number 8
loop_
_space_group_symop_operation_xyz
'x,y,z'
'x,-y,z'
'x+1/2,y+1/2,z'
'x+1/2,-y+1/2,z'
loop_
_atom_site_label
_atom_site_type_symbol
_atom_site_fract_x
_atom_site_fract_y
_atom_site_fract_z
Li1 Li 0.000 0.000 0.000
Li2 Li 0.057 0.259 0.511
Li3 Li 0.236 0.257 0.001
Li4 Li 0.322 0.000 0.511
Mn1 Mn 0.233 0.252 0.275
Mn2 Mn 0.322 0.500 0.549
Mn3 Mn 0.325 0.000 0.775
Mn4 Mn 0.492 0.000 0.044
Ni1 Ni 0.070 0.251 0.771
Ni2 Ni 0.480 0.500 0.272
O1 O 0.074 0.247 0.152
O2 O 0.132 0.500 0.916
O3 O 0.157 0.000 0.380
O4 O 0.165 0.500 0.399
O5 O 0.166 0.000 0.880
O6 O 0.243 0.245 0.653
O7 O 0.305 0.500 0.164
O8 O 0.311 0.000 0.164
O9 O 0.382 0.272 0.405
O10 O 0.407 0.219 0.911
O11 O 0.477 0.000 0.656
O12 O 0.488 0.500 0.637
```

Top 10 peaks for 5 to 70 degrees two-theta, in order of rising 2θ:
Position (°2θ)  I_rel
18.79  100.0
19.66  40.3
19.92  72.1
20.12  95.4
35.79  55.3
36.49  81.1
36.93  58.6
45.94  55.2
46.55  73.4
63.78  56.1



2.
Starting from the GGA+U geometry in Alexandria, the powder XRD pattern of Li2MnNiO4 was computed for Cu Kα X-rays.
Peak positions follow from Bragg's law for the DFT cell and can differ from measured ones.

Structure:
```
data_Li2MnNiO4
_chemical_formula_sum 'Li8 Mn4 Ni4 O16'
_cell_length_a 5.821
_cell_length_b 5.944
_cell_length_c 8.293
_cell_angle_alpha 90.00
_cell_angle_beta 90.00
_cell_angle_gamma 90.00
_space_group_name_H-M_alt 'I m m a'
_space_group_IT_number 74
_space_group_name_Hall '-I 2b 2'
loop_
_atom_site_label
_atom_site_type_symbol
_atom_site_fract_x
_atom_site_fract_y
_atom_site_fract_z
Li1 Li 0.000 0.000 0.000
Li2 Li 0.250 0.250 0.250
Mn1 Mn 0.250 0.250 0.750
Ni1 Ni 0.000 0.000 0.500
O1 O 0.000 0.027 0.751
O2 O 0.245 0.250 0.517
```

Top 10 peaks for 5 to 70 degrees two-theta, in order of rising 2θ:
Position (°2θ)  I_rel
18.36  100.0
18.62  93.4
35.60  33.9
36.00  40.5
37.22  20.1
37.76  18.4
43.52  99.8
43.66  48.9
47.56  14.7
63.35  53.4



3.
Starting from the GGA+U geometry in Alexandria, the powder XRD pattern of Li2Mn3NiO8 was computed for Cu Kα X-rays.
Peak positions follow from Bragg's law for the DFT cell and can differ from measured ones.

Structure:
```
data_Li2Mn3NiO8
_chemical_formula_sum 'Li4 Mn6 Ni2 O16'
_cell_length_a 10.107
_cell_length_b 5.847
_cell_length_c 5.929
_cell_angle_alpha 90.00
_cell_angle_beta 123.70
_cell_angle_gamma 90.00
_space_group_name_H-M_alt 'C 1 2/m 1'
_space_group_IT_number 12
loop_
_space_group_symop_operation_xyz
'x,y,z'
'-x,-y,-z'
'-x,y,-z'
'x,-y,z'
'x+1/2,y+1/2,z'
'-x+1/2,-y+1/2,-z'
'-x+1/2,y+1/2,-z'
'x+1/2,-y+1/2,z'
loop_
_atom_site_label
_atom_site_type_symbol
_atom_site_fract_x
_atom_site_fract_y
_atom_site_fract_z
Li1 Li 0.000 0.000 0.000
Li2 Li 0.000 0.500 0.000
Mn1 Mn 0.000 0.000 0.500
Mn2 Mn 0.250 0.250 0.500
Ni1 Ni 0.000 0.500 0.500
O1 O 0.021 0.236 0.288
O2 O 0.235 0.000 0.705
O3 O 0.245 0.500 0.705
```

Top 10 peaks for 5 to 70 degrees two-theta, in order of rising 2θ:
Position (°2θ)  I_rel
17.98  100.0
36.03  33.1
37.47  5.9
43.03  18.6
43.49  36.5
47.06  6.3
56.29  5.2
56.99  9.5
61.90  9.5
63.77  9.8



4.
Starting from the GGA+U geometry in Alexandria, the powder XRD pattern of Li3Mn3NiO8 was computed for Cu Kα X-rays.
Peak positions follow from Bragg's law for the DFT cell and can differ from measured ones.

Structure:
```
data_Li3Mn3NiO8
_chemical_formula_sum 'Li6 Mn6 Ni2 O16'
_cell_length_a 5.8388
_cell_length_b 5.8388
_cell_length_c 9.5315
_cell_angle_alpha 90.00
_cell_angle_beta 90.00
_cell_angle_gamma 120.00
_space_group_name_H-M_alt 'P 63 m c'
_space_group_IT_number 186
_space_group_name_Hall 'P 6c -2c'
loop_
_atom_site_label
_atom_site_type_symbol
_atom_site_fract_x
_atom_site_fract_y
_atom_site_fract_z
Li1 Li 0.1740 0.3479 0.0000
Mn1 Mn 0.1677 0.3354 0.7295
Ni1 Ni 0.3333 0.6667 0.4522
O1 O 0.0000 0.0000 0.1172
O2 O 0.0318 0.5159 0.6088
O3 O 0.1568 0.3136 0.3423
O4 O 0.3333 0.6667 0.8486
```

Top 10 peaks for 5 to 70 degrees two-theta, in order of rising 2θ:
Position (°2θ)  I_rel
18.62  47.6
19.88  100.0
25.69  37.7
33.30  36.6
36.08  55.9
36.78  53.9
40.38  38.5
45.87  71.0
60.86  44.9
63.76  43.9



5.
Starting from the GGA+U geometry in Alexandria, the powder XRD pattern of Li8Mn12Ni4O31 was computed for Cu Kα X-rays.
Peak positions follow from Bragg's law for the DFT cell and can differ from measured ones.

Structure:
```
data_Li8Mn12Ni4O31
_chemical_formula_sum 'Li8 Mn12 Ni4 O31'
_cell_length_a 8.340
_cell_length_b 8.342
_cell_length_c 8.350
_cell_angle_alpha 90.46
_cell_angle_beta 90.42
_cell_angle_gamma 90.64
_space_group_name_H-M_alt 'P 1'
_space_group_IT_number 1
loop_
_space_group_symop_operation_xyz
'x,y,z'
loop_
_atom_site_label
_atom_site_type_symbol
_atom_site_fract_x
_atom_site_fract_y
_atom_site_fract_z
Li1 Li 0.000 0.000 0.000
Li2 Li 0.003 0.498 0.497
Li3 Li 0.243 0.248 0.245
Li4 Li 0.249 0.740 0.752
Li5 Li 0.504 0.004 0.500
Li6 Li 0.540 0.544 0.030
Li7 Li 0.742 0.245 0.745
Li8 Li 0.755 0.757 0.251
Mn1 Mn 0.109 0.371 0.871
Mn2 Mn 0.128 0.123 0.626
Mn3 Mn 0.129 0.875 0.378
Mn4 Mn 0.374 0.108 0.874
Mn5 Mn 0.374 0.874 0.127
Mn6 Mn 0.376 0.628 0.373
Mn7 Mn 0.621 0.125 0.123
Mn8 Mn 0.625 0.377 0.368
Mn9 Mn 0.628 0.625 0.618
Mn10 Mn 0.868 0.376 0.119
Mn11 Mn 0.871 0.622 0.870
Mn12 Mn 0.880 0.873 0.625
Ni1 Ni 0.120 0.625 0.124
Ni2 Ni 0.375 0.372 0.601
Ni3 Ni 0.625 0.873 0.874
Ni4 Ni 0.876 0.126 0.374
O1 O 0.097 0.376 0.105
O2 O 0.102 0.602 0.875
O3 O 0.117 0.888 0.614
O4 O 0.126 0.107 0.397
O5 O 0.136 0.354 0.640
O6 O 0.142 0.873 0.148
O7 O 0.143 0.140 0.862
O8 O 0.147 0.643 0.374
O9 O 0.362 0.134 0.644
O10 O 0.364 0.863 0.365
O11 O 0.372 0.645 0.144
O12 O 0.378 0.863 0.903
O13 O 0.386 0.110 0.110
O14 O 0.392 0.398 0.364
O15 O 0.397 0.619 0.605
O16 O 0.604 0.121 0.892
O17 O 0.608 0.896 0.125
O18 O 0.613 0.614 0.383
O19 O 0.621 0.392 0.597
O20 O 0.626 0.148 0.355
O21 O 0.632 0.362 0.134
O22 O 0.640 0.627 0.846
O23 O 0.649 0.857 0.623
O24 O 0.851 0.143 0.124
O25 O 0.856 0.375 0.350
O26 O 0.860 0.390 0.888
O27 O 0.863 0.636 0.634
O28 O 0.869 0.609 0.101
O29 O 0.875 0.853 0.855
O30 O 0.896 0.103 0.624
O31 O 0.900 0.876 0.393
```

Top 10 peaks for 5 to 70 degrees two-theta, in order of rising 2θ:
Position (°2θ)  I_rel
18.36  100.0
18.58  32.5
35.56  21.0
35.67  26.9
35.90  14.6
37.22  12.9
43.38  70.2
57.33  8.5
62.71  20.7
63.29  13.2



6.
Starting from the GGA+U geometry in Alexandria, the powder XRD pattern of Li2MnNiO4 was computed for Cu Kα X-rays.
Peak positions follow from Bragg's law for the DFT cell and can differ from measured ones.

Structure:
```
data_Li2MnNiO4
_chemical_formula_sum 'Li4 Mn2 Ni2 O8'
_cell_length_a 4.060
_cell_length_b 4.060
_cell_length_c 8.617
_cell_angle_alpha 90.00
_cell_angle_beta 90.00
_cell_angle_gamma 90.00
_space_group_name_H-M_alt 'I -4 m 2'
_space_group_IT_number 119
_space_group_name_Hall 'I -4 -2'
loop_
_atom_site_label
_atom_site_type_symbol
_atom_site_fract_x
_atom_site_fract_y
_atom_site_fract_z
Li1 Li 0.000 0.000 0.000
Li2 Li 0.000 0.500 0.250
Mn1 Mn 0.000 0.500 0.750
Ni1 Ni 0.000 0.000 0.500
O1 O 0.000 0.000 0.262
O2 O 0.000 0.500 0.526
```

Top 10 peaks for 5 to 70 degrees two-theta, in order of rising 2θ:
Position (°2θ)  I_rel
24.23  100.0
37.65  19.9
38.39  16.5
41.94  27.2
44.64  48.2
51.43  22.8
58.15  10.9
60.30  8.4
62.91  27.4
64.96  13.2



7.
Starting from the GGA+U geometry in Alexandria, the powder XRD pattern of Li5MnNi4O10 was computed for Cu Kα X-rays.
Peak positions follow from Bragg's law for the DFT cell and can differ from measured ones.

Structure:
```
data_Li5MnNi4O10
_chemical_formula_sum 'Li5 Mn1 Ni4 O10'
_cell_length_a 2.912
_cell_length_b 6.507
_cell_length_c 9.723
_cell_angle_alpha 78.62
_cell_angle_beta 88.68
_cell_angle_gamma 77.30
_space_group_name_H-M_alt 'P -1'
_space_group_IT_number 2
loop_
_space_group_symop_operation_xyz
'x,y,z'
'-x,-y,-z'
loop_
_atom_site_label
_atom_site_type_symbol
_atom_site_fract_x
_atom_site_fract_y
_atom_site_fract_z
Li1 Li 0.000 0.000 0.000
Li2 Li 0.195 0.594 0.603
Li3 Li 0.407 0.204 0.192
Mn1 Mn 0.500 0.000 0.500
Ni1 Ni 0.116 0.794 0.298
Ni2 Ni 0.283 0.403 0.900
O1 O 0.033 0.911 0.633
O2 O 0.139 0.680 0.957
O3 O 0.297 0.504 0.239
O4 O 0.360 0.278 0.552
O5 O 0.414 0.124 0.847
```

Top 10 peaks for 5 to 70 degrees two-theta, in order of rising 2θ:
Position (°2θ)  I_rel
18.50  100.0
35.79  15.5
36.21  14.1
36.49  13.1
37.87  10.3
43.18  25.9
44.04  24.0
44.31  23.5
63.44  7.0
67.64  7.1



8.
Starting from the GGA+U geometry in Alexandria, the powder XRD pattern of Li4Mn5NiO12 was computed for Cu Kα X-rays.
Peak positions follow from Bragg's law for the DFT cell and can differ from measured ones.

Structure:
```
data_Li4Mn5NiO12
_chemical_formula_sum 'Li8 Mn10 Ni2 O24'
_cell_length_a 5.221
_cell_length_b 8.660
_cell_length_c 10.308
_cell_angle_alpha 90.00
_cell_angle_beta 101.26
_cell_angle_gamma 90.00
_space_group_name_H-M_alt 'C 1 2/m 1'
_space_group_IT_number 12
loop_
_space_group_symop_operation_xyz
'x,y,z'
'-x,-y,-z'
'-x,y,-z'
'x,-y,z'
'x+1/2,y+1/2,z'
'-x+1/2,-y+1/2,-z'
'-x+1/2,y+1/2,-z'
'x+1/2,-y+1/2,z'
loop_
_atom_site_label
_atom_site_type_symbol
_atom_site_fract_x
_atom_site_fract_y
_atom_site_fract_z
Li1 Li 0.247 0.165 0.245
Mn1 Mn 0.000 0.000 0.000
Mn2 Mn 0.000 0.332 0.500
Mn3 Mn 0.000 0.334 0.000
Ni1 Ni 0.000 0.000 0.500
O1 O 0.087 0.168 0.890
O2 O 0.142 0.500 0.902
O3 O 0.190 0.500 0.605
O4 O 0.220 0.180 0.603
```

Top 10 peaks for 5 to 70 degrees two-theta, in order of rising 2θ:
Position (°2θ)  I_rel
17.55  100.0
35.05  8.1
35.71  13.3
36.10  10.1
38.42  15.1
41.62  18.0
42.59  10.0
48.56  14.9
53.84  12.0
62.83  9.0



9.
Starting from the GGA+U geometry in Alexandria, the powder XRD pattern of Li2Mn2NiO6 was computed for Cu Kα X-rays.
Peak positions follow from Bragg's law for the DFT cell and can differ from measured ones.

Structure:
```
data_Li2Mn2NiO6
_chemical_formula_sum 'Li8 Mn8 Ni4 O24'
_cell_length_a 8.767
_cell_length_b 5.052
_cell_length_c 10.263
_cell_angle_alpha 90.00
_cell_angle_beta 90.00
_cell_angle_gamma 90.00
_space_group_name_H-M_alt 'C m c e'
_space_group_IT_number 64
_space_group_name_Hall '-C 2ac 2'
loop_
_atom_site_label
_atom_site_type_symbol
_atom_site_fract_x
_atom_site_fract_y
_atom_site_fract_z
Li1 Li 0.250 0.080 0.250
Mn1 Mn 0.163 0.000 0.000
Ni1 Ni 0.000 0.000 0.500
O1 O 0.000 0.149 0.900
O2 O 0.181 0.178 0.605
```

Top 10 peaks for 5 to 70 degrees two-theta, in order of rising 2θ:
Position (°2θ)  I_rel
17.28  100.0
35.54  7.2
36.59  30.6
39.76  22.4
44.55  34.1
50.71  14.6
57.85  17.3
64.51  14.3
65.95  5.2
66.54  4.9



10.
Starting from the GGA+U geometry in Alexandria, the powder XRD pattern of Li2MnNiP2O8 was computed for Cu Kα X-rays.
Peak positions follow from Bragg's law for the DFT cell and can differ from measured ones.

Structure:
```
data_Li2MnNiP2O8
_chemical_formula_sum 'Li4 Mn2 Ni2 P4 O16'
_cell_length_a 4.763
_cell_length_b 6.043
_cell_length_c 10.388
_cell_angle_alpha 90.00
_cell_angle_beta 90.06
_cell_angle_gamma 90.00
_space_group_name_H-M_alt 'P 1 21/m 1'
_space_group_IT_number 11
loop_
_space_group_symop_operation_xyz
'x,y,z'
'-x,-y,-z'
'-x,y+1/2,-z'
'x,-y+1/2,z'
loop_
_atom_site_label
_atom_site_type_symbol
_atom_site_fract_x
_atom_site_fract_y
_atom_site_fract_z
Li1 Li 0.000 0.000 0.000
Li2 Li 0.500 0.000 0.500
Mn1 Mn 0.018 0.250 0.276
Ni1 Ni 0.480 0.250 0.780
P1 P 0.091 0.750 0.401
P2 P 0.420 0.750 0.912
O1 O 0.204 0.750 0.541
O2 O 0.232 0.250 0.606
O3 O 0.232 0.547 0.332
O4 O 0.258 0.250 0.091
O5 O 0.286 0.545 0.841
O6 O 0.294 0.750 0.051
```

Top 10 peaks for 5 to 70 degrees two-theta, in order of rising 2θ:
Position (°2θ)  I_rel
17.07  35.3
20.52  52.0
25.32  92.2
29.56  61.4
31.96  22.5
35.32  100.0
36.25  27.1
41.71  19.9
51.96  35.5
56.25  23.6